Cs2TiF5: simulated powder XRD pattern (Cu Ka), based on the GGA-PBE geometry in Alexandria.
Peak positions follow from Bragg's law for the DFT cell and can differ from measured ones.

Most intense lines, 10° ≤ 2θ ≤ 80°, sorted by position:
2θ (°)  I (rel.)
16.85  63
17.63  61
19.99  100
25.31  85
25.74  57
25.88  56
26.69  94
31.26  91

Cell and atoms:
abc: 5.7274 6.8044 7.0474
angles: 61.47 89.86 65.30
Atoms (fractional coordinates):
Cs  0.0000  0.0000  0.0000
Cs  0.4577  0.0902  0.4802
Ti  0.2360  0.5446  0.7404
F  0.0433  0.9248  0.6033
F  0.1013  0.5872  0.4714
F  0.1436  0.5012  0.0100
F  0.4224  0.1641  0.8777
F  0.5739  0.5449  0.7392

---

CsTl6F8: simulated powder XRD pattern (Cu Ka), based on the GGA-PBE geometry in Alexandria.
Peak positions follow from Bragg's law for the DFT cell and can differ from measured ones.

Most intense lines, 10° ≤ 2θ ≤ 80°, sorted by position:
2θ (°)  I (rel.)
26.05  100
26.95  32
30.44  86
43.00  31
44.16  33
50.97  14
51.48  33
53.59  13

Cell and atoms:
abc: 7.2275 7.2275 7.2275
angles: 100.71 100.71 100.71
Atoms (fractional coordinates):
Cs  0.0000  0.0000  0.0000
Tl  0.1111  0.5625  0.2941
Tl  0.2941  0.1111  0.5625
Tl  0.4375  0.7059  0.8889
Tl  0.5625  0.2941  0.1111
Tl  0.7059  0.8889  0.4375
Tl  0.8889  0.4375  0.7059
F  0.1349  0.7472  0.6410
F  0.2528  0.3590  0.8651
F  0.3248  0.3248  0.3248
F  0.3590  0.8651  0.2528
F  0.6410  0.1349  0.7472
F  0.6752  0.6752  0.6752
F  0.7472  0.6410  0.1349
F  0.8651  0.2528  0.3590